Starting from a cell relaxed with GGA-PBE, the PXRD pattern of SmEuTi4O12 was calculated for Cu Kα.

Atomic structure:
Cell lengths 5.477, 5.477, 7.746 Å; angles 90.00, 90.00, 90.00 degrees
Space group P4/mmm (No. 123)
Symmetry-distinct sites (fractional):
Sm  0.000  0.000  0.000 [1 per cell]
Eu  0.500  0.500  0.500 [1 per cell]
Ti  0.000  0.500  0.250 [4 per cell]
O  0.000  0.500  0.000 [2 per cell]
O  0.000  0.500  0.500 [2 per cell]
O  0.247  0.247  0.244 [8 per cell]

Peak list (6 most intense, 5° ≤ 2θ ≤ 70°, low angle first)
h k l  Position (°2θ)  Rel. int.
1 0 1  19.85  1000
2 0 0  32.70  863
2 1 1  38.55  558
2 2 0  46.92  384
2 1 3  51.42  243
2 0 4  58.36  329